Record 1
This entry pairs a crystal structure of CoS8 with its computed powder diffractogram. Radiation: Cu Kα X-rays. Structure: a DFT-relaxed cell (PBE, Alexandria).

Principal peaks in the range 2θ from 10° to 80°, by angle:
| 2theta | d/Å | intensity |
| --- | --- | --- |
| 12.8 | 6.933 | 53 |
| 16.5 | 5.373 | 50 |
| 22.0 | 4.032 | 100 |
| 25.6 | 3.486 | 19 |
| 27.7 | 3.225 | 26 |
| 33.5 | 2.672 | 34 |
| 42.7 | 2.116 | 21 |
| 48.0 | 1.894 | 24 |
| 57.9 | 1.592 | 14 |
| 58.5 | 1.578 | 13 |

Crystal structure
Cell lengths 8.7715, 8.0205, 6.7181 Å; angles 72.44, 60.66, 46.90 degrees
Fractional coordinates of all 9 atoms:
Co: 0.0000 0.0000 0.0000
S: 0.0420 0.2320 0.7680
S: 0.2320 0.0420 0.9580
S: 0.3577 0.6423 0.3577
S: 0.3957 0.3957 0.6043
S: 0.6043 0.6043 0.3957
S: 0.6423 0.3577 0.6423
S: 0.7680 0.9580 0.0420
S: 0.9580 0.7680 0.2320

***

Record 2
This entry pairs a crystal structure of Co2Sb3S3 with its computed powder diffractogram. Radiation: Cu Kα X-rays. Structure: a DFT-relaxed cell (PBE, Alexandria).

Principal peaks in the range 2θ from 10° to 80°, by angle:
| 2theta | d/Å | intensity |
| --- | --- | --- |
| 17.8 | 4.985 | 15 |
| 20.7 | 4.298 | 13 |
| 23.1 | 3.844 | 15 |
| 31.3 | 2.861 | 28 |
| 32.9 | 2.719 | 100 |
| 39.2 | 2.296 | 19 |
| 47.2 | 1.926 | 17 |
| 47.4 | 1.919 | 18 |
| 52.2 | 1.753 | 17 |
| 63.2 | 1.472 | 14 |

Crystal structure
Cell lengths 8.5969, 8.5969, 8.5969 Å; angles 89.75, 89.75, 89.75 degrees
Fractional coordinates of all 32 atoms:
Co: 0.2361 0.2361 0.2361
Co: 0.2391 0.7414 0.7325
Co: 0.2586 0.2675 0.7609
Co: 0.2675 0.7609 0.2586
Co: 0.7325 0.2391 0.7414
Co: 0.7414 0.7325 0.2391
Co: 0.7609 0.2586 0.2675
Co: 0.7639 0.7639 0.7639
Sb: 0.0021 0.1480 0.6698
Sb: 0.1480 0.6698 0.0021
Sb: 0.1679 0.4988 0.3512
Sb: 0.3302 0.9979 0.8520
Sb: 0.3512 0.1679 0.4988
Sb: 0.4988 0.3512 0.1679
Sb: 0.5012 0.6488 0.8321
Sb: 0.6488 0.8321 0.5012
Sb: 0.6698 0.0021 0.1480
Sb: 0.8321 0.5012 0.6488
Sb: 0.8520 0.3302 0.9979
Sb: 0.9979 0.8520 0.3302
S: 0.0007 0.8479 0.6666
S: 0.1521 0.3334 0.9993
S: 0.1681 0.4987 0.6526
S: 0.3334 0.9993 0.1521
S: 0.3474 0.8319 0.5013
S: 0.4987 0.6526 0.1681
S: 0.5013 0.3474 0.8319
S: 0.6526 0.1681 0.4987
S: 0.6666 0.0007 0.8479
S: 0.8319 0.5013 0.3474
S: 0.8479 0.6666 0.0007
S: 0.9993 0.1521 0.3334

***

Record 3
This entry pairs a crystal structure of CoSeS with its computed powder diffractogram. Radiation: Cu Kα X-rays. Structure: a DFT-relaxed cell (PBE, Alexandria).

Principal peaks in the range 2θ from 10° to 80°, by angle:
| 2theta | d/Å | intensity |
| --- | --- | --- |
| 17.5 | 5.067 | 39 |
| 24.5 | 3.632 | 41 |
| 31.5 | 2.836 | 77 |
| 35.4 | 2.534 | 100 |
| 37.1 | 2.425 | 76 |
| 45.4 | 2.000 | 24 |
| 49.0 | 1.861 | 94 |
| 51.7 | 1.768 | 36 |
| 55.3 | 1.660 | 43 |
| 65.3 | 1.428 | 27 |

Crystal structure
Cell lengths 6.6568, 5.9199, 7.3726 Å; angles 58.90, 49.60, 71.50 degrees
Fractional coordinates of all 12 atoms:
Co: 0.0006 0.4994 0.0155
Co: 0.2345 0.7655 0.2494
Co: 0.4994 0.0006 0.4845
Co: 0.7655 0.2345 0.7506
Se: 0.4609 0.5360 0.6760
Se: 0.5360 0.4609 0.3271
Se: 0.5740 0.9229 0.7891
Se: 0.9229 0.5740 0.7140
S: 0.0503 0.9515 0.8256
S: 0.0774 0.4244 0.2985
S: 0.4244 0.0774 0.1997
S: 0.9515 0.0503 0.1726

***

Record 4
This entry pairs a crystal structure of CoSeS with its computed powder diffractogram. Radiation: Cu Kα X-rays. Structure: a DFT-relaxed cell (PBE, Alexandria).

Principal peaks in the range 2θ from 10° to 80°, by angle:
| 2theta | d/Å | intensity |
| --- | --- | --- |
| 24.6 | 3.621 | 31 |
| 31.6 | 2.832 | 100 |
| 35.4 | 2.534 | 99 |
| 37.1 | 2.426 | 68 |
| 45.3 | 2.002 | 25 |
| 49.1 | 1.854 | 87 |
| 51.5 | 1.773 | 32 |
| 55.2 | 1.665 | 36 |
| 58.8 | 1.570 | 20 |
| 65.2 | 1.431 | 24 |

Crystal structure
Cell lengths 3.5464, 4.7124, 5.6583 Å; angles 90.00, 90.00, 90.00 degrees
Fractional coordinates of all 6 atoms:
Co: 0.0000 0.2315 0.0000
Co: 0.5000 0.7685 0.5000
Se: 0.0000 0.4590 0.6221
Se: 0.5000 0.5410 0.1221
S: 0.0000 0.0383 0.3696
S: 0.5000 0.9617 0.8696

***

Record 5
This entry pairs a crystal structure of U2CoSe2S3 with its computed powder diffractogram. Radiation: Cu Kα X-rays. Structure: a DFT-relaxed cell (PBE, Alexandria).

Principal peaks in the range 2θ from 10° to 80°, by angle:
| 2theta | d/Å | intensity |
| --- | --- | --- |
| 20.5 | 4.331 | 100 |
| 25.2 | 3.532 | 92 |
| 26.7 | 3.344 | 36 |
| 27.8 | 3.211 | 44 |
| 28.4 | 3.141 | 30 |
| 37.2 | 2.416 | 29 |
| 38.2 | 2.356 | 27 |
| 40.9 | 2.207 | 51 |
| 41.7 | 2.166 | 26 |
| 48.4 | 1.880 | 33 |

Crystal structure
Cell lengths 7.9673, 7.9673, 7.0741 Å; angles 97.52, 97.52, 46.43 degrees
Fractional coordinates of all 16 atoms:
U: 0.1230 0.6793 0.9145
U: 0.3207 0.8770 0.5855
U: 0.6793 0.1230 0.4145
U: 0.8770 0.3207 0.0855
Co: 0.0000 0.5000 0.5000
Co: 0.5000 0.0000 0.0000
Se: 0.1356 0.3033 0.8086
Se: 0.3033 0.1356 0.3086
Se: 0.6967 0.8644 0.6914
Se: 0.8644 0.6967 0.1914
S: 0.0837 0.9163 0.2500
S: 0.2908 0.5242 0.5723
S: 0.4758 0.7092 0.9277
S: 0.5242 0.2908 0.0723
S: 0.7092 0.4758 0.4277
S: 0.9163 0.0837 0.7500

***

Record 6
This entry pairs a crystal structure of SmUCoS4 with its computed powder diffractogram. Radiation: Cu Kα X-rays. Structure: a DFT-relaxed cell (PBE, Alexandria).

Principal peaks in the range 2θ from 10° to 80°, by angle:
| 2theta | d/Å | intensity |
| --- | --- | --- |
| 11.9 | 7.423 | 26 |
| 21.3 | 4.167 | 100 |
| 28.7 | 3.112 | 35 |
| 29.0 | 3.077 | 35 |
| 29.3 | 3.046 | 31 |
| 31.3 | 2.856 | 47 |
| 32.4 | 2.761 | 30 |
| 35.3 | 2.542 | 48 |
| 36.1 | 2.486 | 42 |
| 43.4 | 2.084 | 48 |

Crystal structure
Cell lengths 6.3422, 5.7117, 7.7279 Å; angles 90.00, 106.15, 90.00 degrees
Fractional coordinates of all 14 atoms:
Sm: 0.2400 0.2500 0.4366
Sm: 0.7600 0.7500 0.5634
U: 0.2553 0.2500 0.9439
U: 0.7447 0.7500 0.0561
Co: 0.2621 0.7500 0.1683
Co: 0.7379 0.2500 0.8317
S: 0.0702 0.7500 0.3713
S: 0.0720 0.7500 0.8933
S: 0.4831 0.5092 0.7510
S: 0.4831 0.9908 0.7510
S: 0.5169 0.0092 0.2490
S: 0.5169 0.4908 0.2490
S: 0.9280 0.2500 0.1067
S: 0.9298 0.2500 0.6287

***

Record 7
This entry pairs a crystal structure of Co2Sn3S3 with its computed powder diffractogram. Radiation: Cu Kα X-rays. Structure: a DFT-relaxed cell (PBE, Alexandria).

Principal peaks in the range 2θ from 10° to 80°, by angle:
| 2theta | d/Å | intensity |
| --- | --- | --- |
| 18.1 | 4.899 | 17 |
| 23.4 | 3.799 | 15 |
| 31.6 | 2.833 | 30 |
| 33.4 | 2.686 | 100 |
| 35.0 | 2.560 | 15 |
| 39.7 | 2.270 | 37 |
| 47.9 | 1.900 | 34 |
| 52.8 | 1.735 | 17 |
| 55.1 | 1.667 | 21 |
| 63.8 | 1.458 | 14 |

Crystal structure
Cell lengths 8.4948, 8.4948, 8.4948 Å; angles 90.10, 90.10, 90.10 degrees
Fractional coordinates of all 32 atoms:
Co: 0.2360 0.2360 0.2360
Co: 0.2371 0.7424 0.7304
Co: 0.2576 0.2696 0.7629
Co: 0.2696 0.7629 0.2576
Co: 0.7304 0.2371 0.7424
Co: 0.7424 0.7304 0.2371
Co: 0.7629 0.2576 0.2696
Co: 0.7640 0.7640 0.7640
Sn: 0.0002 0.1502 0.6667
Sn: 0.9998 0.8498 0.3333
Sn: 0.1502 0.6667 0.0002
Sn: 0.1679 0.4999 0.3503
Sn: 0.3333 0.9998 0.8498
Sn: 0.3503 0.1679 0.4999
Sn: 0.4999 0.3503 0.1679
Sn: 0.5001 0.6497 0.8321
Sn: 0.6497 0.8321 0.5001
Sn: 0.6667 0.0002 0.1502
Sn: 0.8321 0.5001 0.6497
Sn: 0.8498 0.3333 0.9998
S: 0.0022 0.1562 0.3390
S: 0.1562 0.3390 0.0022
S: 0.1603 0.4986 0.6567
S: 0.3390 0.0022 0.1562
S: 0.3433 0.8397 0.5014
S: 0.4986 0.6567 0.1603
S: 0.5014 0.3433 0.8397
S: 0.6567 0.1603 0.4986
S: 0.6610 0.9978 0.8438
S: 0.8397 0.5014 0.3433
S: 0.8438 0.6610 0.9978
S: 0.9978 0.8438 0.6610

***

Record 8
This entry pairs a crystal structure of CoSnS with its computed powder diffractogram. Radiation: Cu Kα X-rays. Structure: a DFT-relaxed cell (PBE, Alexandria).

Principal peaks in the range 2θ from 10° to 80°, by angle:
| 2theta | d/Å | intensity |
| --- | --- | --- |
| 17.3 | 5.116 | 23 |
| 30.0 | 2.979 | 19 |
| 30.7 | 2.916 | 22 |
| 32.0 | 2.799 | 39 |
| 34.9 | 2.574 | 61 |
| 35.4 | 2.534 | 100 |
| 38.3 | 2.350 | 24 |
| 47.3 | 1.923 | 43 |
| 53.7 | 1.707 | 36 |
| 66.7 | 1.402 | 19 |

Crystal structure
Cell lengths 3.3445, 5.1156, 5.9571 Å; angles 90.00, 90.00, 90.00 degrees
Fractional coordinates of all 6 atoms:
Co: 0.0000 0.1878 0.0000
Co: 0.5000 0.8122 0.5000
Sn: 0.0000 0.4493 0.3647
Sn: 0.5000 0.5507 0.8647
S: 0.0000 0.0455 0.6427
S: 0.5000 0.9545 0.1427

***

Repeat the fifth record exactly.
This entry pairs a crystal structure of U2CoSe2S3 with its computed powder diffractogram. Radiation: Cu Kα X-rays. Structure: a DFT-relaxed cell (PBE, Alexandria).

Principal peaks in the range 2θ from 10° to 80°, by angle:
| 2theta | d/Å | intensity |
| --- | --- | --- |
| 20.5 | 4.331 | 100 |
| 25.2 | 3.532 | 92 |
| 26.7 | 3.344 | 36 |
| 27.8 | 3.211 | 44 |
| 28.4 | 3.141 | 30 |
| 37.2 | 2.416 | 29 |
| 38.2 | 2.356 | 27 |
| 40.9 | 2.207 | 51 |
| 41.7 | 2.166 | 26 |
| 48.4 | 1.880 | 33 |

Crystal structure
Cell lengths 7.9673, 7.9673, 7.0741 Å; angles 97.52, 97.52, 46.43 degrees
Fractional coordinates of all 16 atoms:
U: 0.1230 0.6793 0.9145
U: 0.3207 0.8770 0.5855
U: 0.6793 0.1230 0.4145
U: 0.8770 0.3207 0.0855
Co: 0.0000 0.5000 0.5000
Co: 0.5000 0.0000 0.0000
Se: 0.1356 0.3033 0.8086
Se: 0.3033 0.1356 0.3086
Se: 0.6967 0.8644 0.6914
Se: 0.8644 0.6967 0.1914
S: 0.0837 0.9163 0.2500
S: 0.2908 0.5242 0.5723
S: 0.4758 0.7092 0.9277
S: 0.5242 0.2908 0.0723
S: 0.7092 0.4758 0.4277
S: 0.9163 0.0837 0.7500